# Y3B7W
Calculated XRD peak list, CuKα. Input: DFT lattice parameters and positions (PBE).
Lines closer than 0.1° are merged.

The 10 most intense peaks (15° ≤ 2θ ≤ 90°), most intense first:
26.26 deg, I 100; 39.42 deg, I 77; 38.90 deg, I 67; 30.35 deg, I 63; 29.17 deg, I 53; 36.17 deg, I 52; 42.16 deg, I 35; 48.16 deg, I 32; 34.91 deg, I 31; 33.57 deg, I 27

Structure:
Cell: 3.4732 16.0178 9.4997 Å, 90.00 90.00 90.00°
Space group Cmcm (No. 63)
Inequivalent atoms, fractional coordinates:
Y 0.0000 0.1066 0.0603 x8
Y 0.0000 0.2439 0.7500 x4
B 0.0000 0.2725 0.0329 x8
B 0.0000 0.3651 0.1473 x8
B 0.0000 0.4562 0.7500 x4
B 0.0000 0.4803 0.0920 x8
W 0.0000 0.0535 0.7500 x4

=====

# In3SnAu12
Calculated XRD peak list, CuKα. Input: DFT lattice parameters and positions (PBE).
Lines closer than 0.1° are merged.

The 10 most intense peaks (15° ≤ 2θ ≤ 90°), most intense first:
39.53 deg, I 100; 38.27 deg, I 55; 36.67 deg, I 41; 34.84 deg, I 24; 73.03 deg, I 22; 67.95 deg, I 21; 60.67 deg, I 19; 51.48 deg, I 16; 76.50 deg, I 15; 33.43 deg, I 13

Structure:
Cell: 4.9018 11.7432 5.3603 Å, 90.00 90.00 90.00°
Space group Pmm2 (No. 25)
Inequivalent atoms, fractional coordinates:
In 0.0000 0.0000 0.0000 x1
In 0.5000 0.2493 0.3339 x2
Sn 0.0000 0.5000 0.0017 x1
Au 0.0000 0.1256 0.5011 x2
Au 0.0000 0.2475 0.0000 x2
Au 0.0000 0.3725 0.5019 x2
Au 0.5000 0.0000 0.3344 x1
Au 0.5000 0.1236 0.8325 x2
Au 0.5000 0.3746 0.8324 x2
Au 0.5000 0.5000 0.3408 x1

=====

# SrHg2
Calculated XRD peak list, CuKα. Input: DFT lattice parameters and positions (PBE).
Lines closer than 0.1° are merged.

The 10 most intense peaks (15° ≤ 2θ ≤ 90°), most intense first:
29.99 deg, I 100; 35.26 deg, I 94; 41.94 deg, I 48; 58.28 deg, I 45; 21.98 deg, I 41; 46.94 deg, I 29; 60.05 deg, I 28; 20.14 deg, I 19; 80.86 deg, I 18; 63.28 deg, I 18

Structure:
Cell: 5.0910 5.0910 4.0436 Å, 90.00 90.00 120.00°
Space group P6/mmm (No. 191)
Inequivalent atoms, fractional coordinates:
Sr 0.0000 0.0000 0.0000 x1
Hg 0.3333 0.6667 0.5000 x2

=====

# UNb2O7
Calculated XRD peak list, CuKα. Input: DFT lattice parameters and positions (PBE).
Lines closer than 0.1° are merged.

The 10 most intense peaks (15° ≤ 2θ ≤ 90°), most intense first:
27.37 deg, I 100; 34.40 deg, I 80; 27.26 deg, I 72; 25.09 deg, I 46; 16.65 deg, I 44; 23.68 deg, I 43; 52.91 deg, I 40; 28.61 deg, I 39; 47.25 deg, I 35; 37.38 deg, I 26

Structure:
Cell: 3.8177 21.2967 6.5431 Å, 90.00 90.00 90.00°
Space group Cmcm (No. 63)
Inequivalent atoms, fractional coordinates:
U 0.0000 0.1436 0.2500 x4
Nb 0.0000 0.0239 0.7500 x4
Nb 0.0000 0.3356 0.2500 x4
O 0.0000 0.0519 0.0656 x8
O 0.0000 0.1366 0.7500 x4
O 0.0000 0.2490 0.2500 x4
O 0.0000 0.3471 0.5558 x8
O 0.0000 0.4506 0.2500 x4